No. 1
Structure and simulated XRD peak list of Li2CuF4 (a cell relaxed with PBE; copper Kα).

Structural model:
```
data_Li2CuF4
_chemical_formula_sum 'Li8 Cu4 F16'
_symmetry_space_group_name_H-M 'P 4/n c c'
_symmetry_Int_Tables_number 130
_cell_length_a 7.873
_cell_length_b 7.873
_cell_length_c 5.435
_cell_angle_alpha 90.00
_cell_angle_beta 90.00
_cell_angle_gamma 90.00
loop_
_symmetry_equiv_pos_as_xyz
'x,y,z'
'-x,-y,-z'
'-y+1/2,x,z'
'y+1/2,-x,-z'
'-x+1/2,-y+1/2,z'
'x+1/2,y+1/2,-z'
'y,-x+1/2,z'
'-y,x+1/2,-z'
'x+1/2,-y,-z+1/2'
'-x+1/2,y,z+1/2'
'-y,-x,-z+1/2'
'y,x,z+1/2'
'-x,y+1/2,-z+1/2'
'x,-y+1/2,z+1/2'
'y+1/2,x+1/2,-z+1/2'
'-y+1/2,-x+1/2,z+1/2'
loop_
_atom_site_label
_atom_site_type_symbol
_atom_site_fract_x
_atom_site_fract_y
_atom_site_fract_z
Li1 Li 0.043 0.543 0.250
Cu1 Cu 0.250 0.250 0.040
F1 F 0.024 0.168 0.549
```

Top 10 peaks for 2θ = 10–90°, most intense first:
- hkl 1 1 0, 2θ = 15.92°, I 1000
- hkl 1 1 2, 2θ = 36.81°, I 192
- hkl 0 0 2, 2θ = 32.96°, I 179
- hkl 3 1 1, 2θ = 39.82°, I 173
- hkl 1 0 2, 2θ = 34.93°, I 146
- hkl 3 1 0, 2θ = 36.07°, I 132
- hkl 4 2 0, 2θ = 51.94°, I 129
- hkl 2 0 0, 2θ = 22.59°, I 121
- hkl 4 2 2, 2θ = 62.90°, I 117
- hkl 2 0 2, 2θ = 40.33°, I 93

No. 2
Structure and simulated XRD peak list of Li2Cu3F8 (a cell relaxed with PBE; copper Kα).

Structural model:
```
data_Li2Cu3F8
_chemical_formula_sum 'Li8 Cu12 F32'
_symmetry_space_group_name_H-M 'P 43 3 2'
_symmetry_Int_Tables_number 212
_symmetry_space_group_name_Hall 'P 4acd 2ab 3'
_cell_length_a 8.532
_cell_length_b 8.532
_cell_length_c 8.532
_cell_angle_alpha 90.00
_cell_angle_beta 90.00
_cell_angle_gamma 90.00
loop_
_atom_site_label
_atom_site_type_symbol
_atom_site_fract_x
_atom_site_fract_y
_atom_site_fract_z
Li1 Li 0.007 0.493 0.507
Cu1 Cu 0.110 0.625 0.140
F1 F 0.106 0.874 0.631
F2 F 0.112 0.612 0.888
```

Top 10 peaks for 2θ = 10–90°, most intense first:
- hkl 1 1 1, 2θ = 18.01°, I 1000
- hkl 4 0 0, 2θ = 42.38°, I 839
- hkl 3 1 1, 2θ = 34.88°, I 600
- hkl 4 4 0, 2θ = 61.48°, I 480
- hkl 2 1 0, 2θ = 23.31°, I 358
- hkl 2 1 1, 2θ = 25.57°, I 334
- hkl 5 1 1, 2θ = 56.01°, I 195
- hkl 1 1 0, 2θ = 14.68°, I 175
- hkl 5 2 1, 2θ = 59.33°, I 159
- hkl 5 3 1, 2θ = 64.63°, I 147

No. 3
Structure and simulated XRD peak list of Li2Cu7F16 (a cell relaxed with PBE; copper Kα).

Structural model:
```
data_Li2Cu7F16
_chemical_formula_sum 'Li2 Cu7 F16'
_symmetry_space_group_name_H-M 'P -1'
_symmetry_Int_Tables_number 2
_symmetry_space_group_name_Hall '-P 1'
_cell_length_a 6.379
_cell_length_b 6.389
_cell_length_c 8.889
_cell_angle_alpha 90.44
_cell_angle_beta 110.17
_cell_angle_gamma 119.42
loop_
_atom_site_label
_atom_site_type_symbol
_atom_site_fract_x
_atom_site_fract_y
_atom_site_fract_z
Li1 Li 0.198 0.361 0.010
Cu1 Cu 0.080 0.477 0.339
Cu2 Cu 0.253 0.236 0.658
Cu3 Cu 0.371 0.105 0.343
Cu4 Cu 0.500 0.000 0.000
F1 F 0.038 0.768 0.294
F2 F 0.054 0.177 0.419
F3 F 0.159 0.658 0.888
F4 F 0.256 0.620 0.580
F5 F 0.293 0.009 0.116
F6 F 0.329 0.412 0.250
F7 F 0.391 0.246 0.888
F8 F 0.457 0.137 0.582
```

Top 10 peaks for 2θ = 10–90°, most intense first:
- hkl 0 0 1, 2θ = 10.86°, I 1000
- hkl 1 -2 1, 2θ = 30.00°, I 920
- hkl 1 1 0, 2θ = 29.69°, I 815
- hkl -2 1 2, 2θ = 30.27°, I 738
- hkl 0 3 -1, 2θ = 49.15°, I 648
- hkl 0 0 3, 2θ = 32.99°, I 511
- hkl -3 3 1, 2θ = 49.62°, I 300
- hkl 1 1 3, 2θ = 52.86°, I 279
- hkl 1 -2 4, 2θ = 53.26°, I 276
- hkl -2 1 5, 2θ = 53.83°, I 270

No. 4
Structure and simulated XRD peak list of Li2Cu2F5 (a cell relaxed with PBE; copper Kα).

Structural model:
```
data_Li2Cu2F5
_chemical_formula_sum 'Li8 Cu8 F20'
_symmetry_space_group_name_H-M 'P 1 21/c 1'
_symmetry_Int_Tables_number 14
_symmetry_space_group_name_Hall '-P 2ybc'
_cell_length_a 9.958
_cell_length_b 3.016
_cell_length_c 14.077
_cell_angle_alpha 90.00
_cell_angle_beta 93.13
_cell_angle_gamma 90.00
loop_
_atom_site_label
_atom_site_type_symbol
_atom_site_fract_x
_atom_site_fract_y
_atom_site_fract_z
Li1 Li 0.108 0.193 0.207
Li2 Li 0.313 0.681 0.096
Cu1 Cu 0.112 0.236 0.954
Cu2 Cu 0.387 0.703 0.324
F1 F 0.028 0.206 0.333
F2 F 0.175 0.175 0.079
F3 F 0.240 0.686 0.236
F4 F 0.279 0.652 0.937
F5 F 0.438 0.182 0.126
```

Top 10 peaks for 2θ = 10–90°, most intense first:
- hkl 1 0 2, 2θ = 15.83°, I 1000
- hkl 1 1 -2, 2θ = 33.38°, I 798
- hkl 2 1 0, 2θ = 34.79°, I 601
- hkl 2 0 -4, 2θ = 30.33°, I 370
- hkl 3 0 -2, 2θ = 29.15°, I 295
- hkl 4 1 4, 2θ = 55.54°, I 191
- hkl 1 0 -6, 2θ = 39.02°, I 119
- hkl 0 1 4, 2θ = 39.37°, I 119
- hkl 4 1 -4, 2θ = 53.45°, I 119
- hkl 3 1 2, 2θ = 42.97°, I 114

No. 5
Structure and simulated XRD peak list of Li2CuF4 (a cell relaxed with PBE; copper Kα).

Structural model:
```
data_Li2CuF4
_chemical_formula_sum 'Li4 Cu2 F8'
_symmetry_space_group_name_H-M 'C m m m'
_symmetry_Int_Tables_number 65
_symmetry_space_group_name_Hall '-C 2 2'
_cell_length_a 6.000
_cell_length_b 8.124
_cell_length_c 3.126
_cell_angle_alpha 90.00
_cell_angle_beta 90.00
_cell_angle_gamma 90.00
loop_
_atom_site_label
_atom_site_type_symbol
_atom_site_fract_x
_atom_site_fract_y
_atom_site_fract_z
Li1 Li 0.250 0.250 0.000
Cu1 Cu 0.000 0.000 0.500
F1 F 0.000 0.236 0.500
F2 F 0.231 0.000 0.000
```

Top 10 peaks for 2θ = 10–90°, most intense first:
- hkl 1 1 0, 2θ = 18.38°, I 1000
- hkl 2 0 1, 2θ = 41.73°, I 472
- hkl 1 1 1, 2θ = 34.17°, I 322
- hkl 2 4 1, 2θ = 62.73°, I 225
- hkl 0 2 0, 2θ = 21.88°, I 191
- hkl 0 4 0, 2θ = 44.62°, I 187
- hkl 1 3 0, 2θ = 36.40°, I 120
- hkl 3 1 1, 2θ = 55.72°, I 114
- hkl 0 0 1, 2θ = 28.55°, I 98
- hkl 2 0 0, 2θ = 29.78°, I 92

No. 6
Structure and simulated XRD peak list of Li2Cu2F7 (a cell relaxed with PBE; copper Kα).

Structural model:
```
data_Li2Cu2F7
_chemical_formula_sum 'Li4 Cu4 F14'
_symmetry_space_group_name_H-M 'C 1 m 1'
_symmetry_Int_Tables_number 8
_symmetry_space_group_name_Hall 'C -2y'
_cell_length_a 13.335
_cell_length_b 3.124
_cell_length_c 8.373
_cell_angle_alpha 90.00
_cell_angle_beta 125.49
_cell_angle_gamma 90.00
loop_
_atom_site_label
_atom_site_type_symbol
_atom_site_fract_x
_atom_site_fract_y
_atom_site_fract_z
Li1 Li 0.000 0.000 0.000
Li2 Li 0.038 0.500 0.445
Cu1 Cu 0.211 0.000 0.805
Cu2 Cu 0.263 0.500 0.248
F1 F 0.085 0.500 0.121
F2 F 0.098 0.500 0.732
F3 F 0.158 0.000 0.543
F4 F 0.233 0.000 0.057
F5 F 0.292 0.000 0.406
F6 F 0.331 0.500 0.884
F7 F 0.428 0.500 0.337
```

Top 10 peaks for 2θ = 10–90°, most intense first:
- hkl 2 0 0, 2θ = 16.33°, I 1000
- hkl 2 0 -2, 2θ = 21.26°, I 499
- hkl 2 0 -1, 2θ = 13.74°, I 469
- hkl 1 1 -1, 2θ = 30.55°, I 237
- hkl 0 0 2, 2θ = 26.14°, I 178
- hkl 1 1 -3, 2θ = 46.06°, I 177
- hkl 2 0 -3, 2θ = 32.71°, I 174
- hkl 1 1 1, 2θ = 34.52°, I 165
- hkl 1 1 -2, 2θ = 36.57°, I 140
- hkl 4 0 -1, 2θ = 27.42°, I 129